The following is a calculated powder X-ray diffraction pattern of CeAsN. It was derived from the PBE geometry in Alexandria, using a wavelength of 1.5418 Å.
Peak positions follow from Bragg's law for the DFT cell and can differ from measured ones.

The 6 most intense peaks (2θ = 10–90°), sorted by position:
28.44 deg, I = 80.6
28.84 deg, I = 71.7
33.77 deg, I = 100.0
36.44 deg, I = 38.9
39.99 deg, I = 51.3
59.63 deg, I = 37.2

Structural model:
```
CeAsN
1.0
-1.989 7.398 2.034
1.989 -7.398 2.034
1.989 7.398 -2.034
Ce As N
2 2 2
Direct
0.175 0.000 0.175
0.825 0.000 0.825
0.516 0.516 0.000
0.919 0.419 0.500
0.254 0.502 0.752
0.750 0.502 0.248
```



The following is a calculated powder X-ray diffraction pattern of CrRe5. It was derived from the PBE geometry in Alexandria, using a wavelength of 1.5418 Å.
Peak positions follow from Bragg's law for the DFT cell and can differ from measured ones.

The 6 most intense peaks (2θ = 10–90°), sorted by position:
37.69 deg, I = 46.0
40.43 deg, I = 75.2
42.92 deg, I = 100.0
43.03 deg, I = 97.3
43.19 deg, I = 45.6
43.42 deg, I = 44.8

Structural model:
```
CrRe5
1.0
5.063 -1.382 0.000
5.063 1.382 0.000
-1.712 0.000 6.252
Cr Re
1 5
Direct
0.000 0.000 0.000
0.053 0.053 0.610
0.336 0.336 0.669
0.390 0.390 0.267
0.663 0.663 0.327
0.718 0.718 0.941
```



The following is a calculated powder X-ray diffraction pattern of Ba2Sr5Ca2Ac. It was derived from the PBE geometry in Alexandria, using a wavelength of 1.5418 Å.
Peak positions follow from Bragg's law for the DFT cell and can differ from measured ones.

The 6 most intense peaks (2θ = 10–90°), sorted by position:
20.60 deg, I = 23.9
23.68 deg, I = 30.2
25.53 deg, I = 100.0
27.68 deg, I = 28.7
28.10 deg, I = 21.4
28.50 deg, I = 31.8

Structural model:
```
Ba2Sr5Ca2Ac
1.0
13.286 0.000 0.000
0.000 13.286 0.000
0.000 0.000 6.263
Ba Sr Ca Ac
4 10 4 2
Direct
0.178 0.322 0.000
0.322 0.822 0.000
0.678 0.178 0.000
0.822 0.678 0.000
0.000 0.500 0.500
0.073 0.799 0.500
0.201 0.073 0.500
0.299 0.573 0.500
0.427 0.299 0.500
0.500 0.000 0.500
0.573 0.701 0.500
0.701 0.427 0.500
0.799 0.927 0.500
0.927 0.201 0.500
0.116 0.616 0.000
0.384 0.116 0.000
0.616 0.884 0.000
0.884 0.384 0.000
0.000 0.000 0.000
0.500 0.500 0.000
```



The following is a calculated powder X-ray diffraction pattern of SrLiOs2O8. It was derived from the PBE geometry in Alexandria, using a wavelength of 1.5418 Å.
Peak positions follow from Bragg's law for the DFT cell and can differ from measured ones.

The 6 most intense peaks (2θ = 10–90°), sorted by position:
17.93 deg, I = 27.3
21.78 deg, I = 100.0
23.43 deg, I = 58.8
29.42 deg, I = 82.5
34.81 deg, I = 29.9
37.97 deg, I = 31.8

Structural model:
```
SrLiOs2O8
1.0
4.276 -3.034 0.000
4.276 3.034 0.000
-0.376 0.000 7.526
Sr Li Os O
1 1 2 8
Direct
0.000 0.000 0.000
0.000 0.000 0.500
0.371 0.371 0.725
0.629 0.629 0.275
0.224 0.733 0.724
0.239 0.239 0.539
0.267 0.776 0.276
0.292 0.292 0.942
0.708 0.708 0.058
0.733 0.224 0.724
0.761 0.761 0.461
0.776 0.267 0.276
```



The following is a calculated powder X-ray diffraction pattern of Tb4PrHo2. It was derived from the PBE geometry in Alexandria, using a wavelength of 1.5418 Å.
Peak positions follow from Bragg's law for the DFT cell and can differ from measured ones.

The 6 most intense peaks (2θ = 10–90°), sorted by position:
30.01 deg, I = 36.9
31.23 deg, I = 100.0
31.48 deg, I = 48.1
32.72 deg, I = 45.5
32.93 deg, I = 46.1
48.12 deg, I = 19.4

Structural model:
```
Tb4PrHo2
1.0
8.365 -1.771 0.000
8.365 1.771 0.000
-4.282 0.000 7.656
Tb Pr Ho
4 1 2
Direct
0.141 0.141 0.333
0.206 0.206 0.795
0.794 0.794 0.205
0.859 0.859 0.667
0.500 0.500 0.500
0.429 0.429 0.069
0.571 0.571 0.931
```



The following is a calculated powder X-ray diffraction pattern of Ac4AgRh2. It was derived from the PBE geometry in Alexandria, using a wavelength of 1.5418 Å.
Peak positions follow from Bragg's law for the DFT cell and can differ from measured ones.

The 6 most intense peaks (2θ = 10–90°), sorted by position:
26.63 deg, I = 62.5
29.32 deg, I = 87.2
29.43 deg, I = 100.0
30.26 deg, I = 82.4
34.94 deg, I = 62.5
35.21 deg, I = 51.2

Structural model:
```
Ac4AgRh2
1.0
-4.655 4.815 4.817
4.655 -4.815 4.817
4.655 4.815 -4.817
Ac Ag Rh
8 2 4
Direct
0.004 0.894 0.518
0.124 0.110 0.106
0.376 0.482 0.986
0.496 0.014 0.891
0.504 0.018 0.394
0.624 0.606 0.609
0.876 0.486 0.982
0.996 0.390 0.514
0.250 0.625 0.375
0.750 0.875 0.125
0.132 0.750 0.882
0.368 0.250 0.618
0.631 0.381 0.250
0.869 0.119 0.750
```